# SrCaLa2Zn
Theoretical powder XRD pattern, CuKα. Input: a GGA-PBE-relaxed structure.
Peak positions follow from Bragg's law for the DFT cell and can differ from measured ones.

a b c (Å): 14.235 3.806 8.343
angles (deg): 90.00 123.92 90.00
Space group Cm (No. 8)
Unique sites:
Sr  0.000  0.000  0.000 x2
Ca  0.067  0.500  0.595 x2
La  0.276  0.000  0.505 x2
La  0.296  0.500  0.175 x2
Zn  0.273  0.000  0.865 x2

Most intense lines, 2θ from 5° to 70°, in order of rising 2θ:
Position (°2θ)	d/Å	I/Imax
15.0	5.906	96
25.7	3.462	60
29.7	3.005	81
30.1	2.969	70
30.3	2.953	65
32.6	2.749	36
32.9	2.723	100
39.0	2.311	44
40.4	2.233	37
49.8	1.830	36

# SrCaLa2Zn
Theoretical powder XRD pattern, CuKα. Input: a GGA-PBE-relaxed structure.
Peak positions follow from Bragg's law for the DFT cell and can differ from measured ones.

a b c (Å): 3.752 5.617 8.599
angles (deg): 90.00 90.00 90.00
Space group Pmm2 (No. 25)
Unique sites:
Sr  0.000  0.000  0.000 x1
Ca  0.000  0.500  0.299 x1
La  0.000  0.500  0.710 x1
La  0.500  0.000  0.551 x1
Zn  0.500  0.500  0.000 x1

Most intense lines, 2θ from 5° to 70°, in order of rising 2θ:
Position (°2θ)	d/Å	I/Imax
10.3	8.599	42
26.1	3.414	45
30.5	2.933	100
31.7	2.827	21
31.9	2.808	38
35.1	2.553	18
35.6	2.525	29
39.6	2.278	16
55.9	1.644	32
59.2	1.560	19

# CaLa12Tb5
Theoretical powder XRD pattern, CuKα. Input: a GGA-PBE-relaxed structure.
Peak positions follow from Bragg's law for the DFT cell and can differ from measured ones.

a b c (Å): 19.209 11.032 6.423
angles (deg): 90.00 109.13 90.00
Space group C2/m (No. 12)
Unique sites:
Ca  0.000  0.000  0.000 x2
La  0.000  0.176  0.500 x4
La  0.000  0.337  0.000 x4
La  0.166  0.329  0.836 x8
La  0.170  0.173  0.338 x8
Tb  0.000  0.500  0.500 x2
Tb  0.166  0.500  0.338 x4
Tb  0.169  0.000  0.827 x4

Most intense lines, 2θ from 5° to 70°, in order of rising 2θ:
Position (°2θ)	d/Å	I/Imax
29.6	3.023	100
29.6	3.014	99
34.1	2.630	34
34.4	2.606	66
49.2	1.851	48
58.3	1.583	22
58.6	1.575	28
58.8	1.571	28
61.3	1.511	12
61.5	1.507	12

# CaLa2Tb2
Theoretical powder XRD pattern, CuKα. Input: a GGA-PBE-relaxed structure.
Peak positions follow from Bragg's law for the DFT cell and can differ from measured ones.

a b c (Å): 3.6776 3.6776 45.7588
angles (deg): 90.00 90.00 120.00
Space group R-3m (No. 166, hexagonal axes)
Unique sites:
Ca  0.0000  0.0000  0.0000 x3
La  0.0000  0.0000  0.4050 x6
Tb  0.0000  0.0000  0.1981 x6

Most intense lines, 2θ from 5° to 70°, in order of rising 2θ:
Position (°2θ)	d/Å	I/Imax
5.8	15.253	75
29.3	3.051	31
29.7	3.008	100
34.3	2.614	66
49.0	1.858	20
49.6	1.839	24
58.1	1.587	11
58.6	1.575	26
58.9	1.569	14
61.7	1.504	12

# CaLaTbZn
Theoretical powder XRD pattern, CuKα. Input: a GGA-PBE-relaxed structure.
Peak positions follow from Bragg's law for the DFT cell and can differ from measured ones.

a b c (Å): 3.616 3.616 9.372
angles (deg): 90.00 90.00 90.00
Space group P4mm (No. 99)
Unique sites:
Ca  0.000  0.000  0.000 x1
La  0.500  0.500  0.669 x1
Tb  0.000  0.000  0.389 x1
Zn  0.500  0.500  0.207 x1

Most intense lines, 2θ from 5° to 70°, in order of rising 2θ:
Position (°2θ)	d/Å	I/Imax
9.4	9.372	50
26.4	3.374	27
28.6	3.124	12
31.2	2.863	100
35.1	2.557	45
38.1	2.364	15
45.9	1.979	13
50.5	1.808	16
53.0	1.728	12
60.6	1.529	29

# Ca2LaTe
Theoretical powder XRD pattern, CuKα. Input: a GGA-PBE-relaxed structure.
Peak positions follow from Bragg's law for the DFT cell and can differ from measured ones.

a b c (Å): 4.881 4.881 11.323
angles (deg): 90.00 90.00 90.00
Space group I-4m2 (No. 119)
Unique sites:
Ca  0.000  0.000  0.000 x2
Ca  0.000  0.500  0.250 x2
La  0.000  0.500  0.750 x2
Te  0.000  0.000  0.500 x2

Most intense lines, 2θ from 5° to 70°, in order of rising 2θ:
Position (°2θ)	d/Å	I/Imax
19.8	4.482	36
29.9	2.986	13
30.3	2.947	100
31.6	2.831	22
36.8	2.440	29
42.2	2.143	11
49.3	1.848	25
55.5	1.656	17
62.4	1.489	24
63.1	1.473	12